(1)
For Ca2Ga4Cu3, a structure optimized by DFT (GGA-PBE) gives the simulated PXRD pattern in this record (CuKα).
Neutral-atom scattering factors, no anomalous dispersion.

The 10 most intense peaks (10 to 90 degrees two-theta), low angle first:
hkl	2θ/deg	d_spacing	Rel. int.
0 2 0	18.5	4.787	23.8
1 1 1	20.2	4.400	20.1
2 0 0	33.4	2.683	37.4
1 3 3	39.0	2.311	100.0
2 2 2	41.0	2.200	35.3
0 0 6	42.2	2.143	30.3
2 0 4	43.9	2.060	22.6
2 2 4	48.1	1.893	17.9
3 3 3	63.4	1.467	22.2
2 6 0	68.4	1.372	16.3

Cell and atoms:
```
data_Ca2Ga4Cu3
_cell_length_a 5.3678
_cell_length_b 9.5746
_cell_length_c 12.8607
_cell_angle_alpha 90.00
_cell_angle_beta 90.00
_cell_angle_gamma 90.00
_space_group_name_H-M_alt 'F m m m'
_space_group_IT_number 69
_space_group_name_Hall '-F 2 2'
loop_
_atom_site_label
_atom_site_type_symbol
_atom_site_fract_x
_atom_site_fract_y
_atom_site_fract_z
Ca1 Ca 0.0000 0.0000 0.1358
Ga1 Ga 0.0000 0.1773 0.3406
Cu1 Cu 0.0000 0.0000 0.5000
Cu2 Cu 0.2500 0.2500 0.0000
```


(2)
For Ca2Ga3Cu, a structure optimized by DFT (GGA-PBE) gives the simulated PXRD pattern in this record (CuKα).
Neutral-atom scattering factors, no anomalous dispersion.

The 10 most intense peaks (10 to 90 degrees two-theta), low angle first:
hkl	2θ/deg	d_spacing	Rel. int.
2 0 -2	24.6	3.615	27.3
1 1 1	33.0	2.718	22.9
3 1 -1	33.1	2.707	33.6
0 0 2	33.7	2.659	19.7
1 1 -2	33.9	2.641	82.0
3 1 -2	34.1	2.632	44.5
2 0 -3	39.0	2.307	25.0
4 0 -3	39.2	2.297	30.1
3 1 0	40.3	2.240	100.0
0 2 0	40.7	2.219	58.4

Cell and atoms:
```
data_Ca2Ga3Cu
_cell_length_a 10.5851
_cell_length_b 4.4380
_cell_length_c 7.2302
_cell_angle_alpha 90.00
_cell_angle_beta 132.65
_cell_angle_gamma 90.00
_space_group_name_H-M_alt 'C 1 m 1'
_space_group_IT_number 8
loop_
_space_group_symop_operation_xyz
'x,y,z'
'x,-y,z'
'x+1/2,y+1/2,z'
'x+1/2,-y+1/2,z'
loop_
_atom_site_label
_atom_site_type_symbol
_atom_site_fract_x
_atom_site_fract_y
_atom_site_fract_z
Ca1 Ca 0.0000 0.0000 0.0000
Ca2 Ca 0.0918 0.0000 0.5913
Ga1 Ga 0.2087 0.5000 0.3957
Ga2 Ga 0.3725 0.0000 0.1815
Ga3 Ga 0.3940 0.0000 0.5934
Cu1 Cu 0.2136 0.5000 0.0205
```


(3)
For Ca2GaCu3, a structure optimized by DFT (GGA-PBE) gives the simulated PXRD pattern in this record (CuKα).
Neutral-atom scattering factors, no anomalous dispersion.

The 10 most intense peaks (10 to 90 degrees two-theta), low angle first:
hkl	2θ/deg	d_spacing	Rel. int.
1 0 0	18.9	4.702	30.7
1 0 3	36.8	2.443	45.4
1 1 2	39.3	2.294	100.0
2 0 1	39.8	2.267	97.7
0 0 4	42.1	2.144	27.2
2 0 2	43.9	2.062	37.1
3 0 2	63.2	1.472	22.5
2 0 5	67.6	1.386	26.2
2 2 0	69.2	1.357	26.4
2 2 4	84.5	1.147	18.9

Cell and atoms:
```
data_Ca2GaCu3
_cell_length_a 5.4295
_cell_length_b 5.4295
_cell_length_c 8.5780
_cell_angle_alpha 90.00
_cell_angle_beta 90.00
_cell_angle_gamma 120.00
_space_group_name_H-M_alt 'P 63/m m c'
_space_group_IT_number 194
_space_group_name_Hall '-P 6c 2c'
loop_
_atom_site_label
_atom_site_type_symbol
_atom_site_fract_x
_atom_site_fract_y
_atom_site_fract_z
Ca1 Ca 0.3333 0.6667 0.0585
Ga1 Ga 0.0000 0.0000 0.0000
Cu1 Cu 0.1674 0.3349 0.7500
```


(4)
For LiCa2Ga5Cu2, a structure optimized by DFT (GGA-PBE) gives the simulated PXRD pattern in this record (CuKα).
Neutral-atom scattering factors, no anomalous dispersion.

The 10 most intense peaks (10 to 90 degrees two-theta), low angle first:
hkl	2θ/deg	d_spacing	Rel. int.
1 1 0	13.2	6.733	49.3
2 1 0	20.9	4.258	34.8
2 2 1	34.6	2.594	30.9
3 1 1	37.1	2.421	100.0
4 1 0	39.0	2.309	65.1
3 3 0	40.2	2.244	26.3
3 2 1	40.7	2.215	98.2
4 0 1	44.1	2.055	49.1
0 0 2	44.5	2.035	45.5
4 1 2	60.7	1.527	33.3

Cell and atoms:
```
data_LiCa2Ga5Cu2
_cell_length_a 9.5213
_cell_length_b 9.5213
_cell_length_c 4.0704
_cell_angle_alpha 90.00
_cell_angle_beta 90.00
_cell_angle_gamma 90.00
_space_group_name_H-M_alt 'P 4/m b m'
_space_group_IT_number 127
_space_group_name_Hall '-P 4 2ab'
loop_
_atom_site_label
_atom_site_type_symbol
_atom_site_fract_x
_atom_site_fract_y
_atom_site_fract_z
Li1 Li 0.0000 0.0000 0.0000
Ca1 Ca 0.1841 0.3159 0.0000
Ga1 Ga 0.0000 0.5000 0.5000
Ga2 Ga 0.0562 0.7906 0.5000
Cu1 Cu 0.1099 0.6099 0.0000
```


(5)
For Ca2MnGa3Cu12, a structure optimized by DFT (GGA-PBE) gives the simulated PXRD pattern in this record (CuKα).
Neutral-atom scattering factors, no anomalous dispersion.

The 10 most intense peaks (10 to 90 degrees two-theta), low angle first:
hkl	2θ/deg	d_spacing	Rel. int.
0 1 8	30.4	2.936	46.6
1 1 3	30.8	2.904	65.9
2 0 2	34.5	2.598	85.6
1 0 10	36.1	2.491	60.9
0 2 4	36.3	2.476	64.8
0 1 11	39.0	2.310	57.2
2 0 8	42.7	2.116	100.0
1 2 2	45.9	1.979	78.0
0 2 10	47.1	1.930	95.9
2 2 0	60.7	1.526	59.7

Cell and atoms:
```
data_Ca2MnGa3Cu12
_cell_length_a 6.1051
_cell_length_b 6.1051
_cell_length_c 28.2464
_cell_angle_alpha 90.00
_cell_angle_beta 90.00
_cell_angle_gamma 120.00
_space_group_name_H-M_alt 'R -3 m'
_space_group_IT_number 166
_space_group_name_Hall '-R 3 2"'
loop_
_atom_site_label
_atom_site_type_symbol
_atom_site_fract_x
_atom_site_fract_y
_atom_site_fract_z
Ca1 Ca 0.0000 0.0000 0.1491
Mn1 Mn 0.0000 0.0000 0.5000
Ga1 Ga 0.0000 0.5000 0.0000
Cu1 Cu 0.0521 0.5261 0.0959
Cu2 Cu 0.0686 0.5343 0.6160
```


(6)
For Ca2GaCu2Ni5, a structure optimized by DFT (GGA-PBE) gives the simulated PXRD pattern in this record (CuKα).
Neutral-atom scattering factors, no anomalous dispersion.

The 10 most intense peaks (10 to 90 degrees two-theta), low angle first:
hkl	2θ/deg	d_spacing	Rel. int.
2 0 0	19.8	4.481	11.9
2 1 0	22.2	4.008	18.3
2 2 1	37.5	2.397	24.9
3 1 1	40.2	2.242	100.0
4 1 0	41.5	2.174	28.7
3 2 1	44.0	2.057	43.4
4 0 1	47.6	1.911	12.7
0 0 2	49.8	1.832	28.1
4 1 2	66.8	1.401	12.9
3 1 3	86.9	1.121	12.4

Cell and atoms:
```
data_Ca2GaCu2Ni5
_cell_length_a 8.9619
_cell_length_b 8.9619
_cell_length_c 3.6640
_cell_angle_alpha 90.00
_cell_angle_beta 90.00
_cell_angle_gamma 90.00
_space_group_name_H-M_alt 'P 4/m b m'
_space_group_IT_number 127
_space_group_name_Hall '-P 4 2ab'
loop_
_atom_site_label
_atom_site_type_symbol
_atom_site_fract_x
_atom_site_fract_y
_atom_site_fract_z
Ca1 Ca 0.1791 0.3209 0.0000
Ga1 Ga 0.0000 0.0000 0.0000
Cu1 Cu 0.1193 0.6193 0.0000
Ni1 Ni 0.0000 0.5000 0.5000
Ni2 Ni 0.0563 0.7999 0.5000
```


Please write out number 1 again, unchanged.
For Ca2Ga4Cu3, a structure optimized by DFT (GGA-PBE) gives the simulated PXRD pattern in this record (CuKα).
Neutral-atom scattering factors, no anomalous dispersion.

The 10 most intense peaks (10 to 90 degrees two-theta), low angle first:
hkl	2θ/deg	d_spacing	Rel. int.
0 2 0	18.5	4.787	23.8
1 1 1	20.2	4.400	20.1
2 0 0	33.4	2.683	37.4
1 3 3	39.0	2.311	100.0
2 2 2	41.0	2.200	35.3
0 0 6	42.2	2.143	30.3
2 0 4	43.9	2.060	22.6
2 2 4	48.1	1.893	17.9
3 3 3	63.4	1.467	22.2
2 6 0	68.4	1.372	16.3

Cell and atoms:
```
data_Ca2Ga4Cu3
_cell_length_a 5.3678
_cell_length_b 9.5746
_cell_length_c 12.8607
_cell_angle_alpha 90.00
_cell_angle_beta 90.00
_cell_angle_gamma 90.00
_space_group_name_H-M_alt 'F m m m'
_space_group_IT_number 69
_space_group_name_Hall '-F 2 2'
loop_
_atom_site_label
_atom_site_type_symbol
_atom_site_fract_x
_atom_site_fract_y
_atom_site_fract_z
Ca1 Ca 0.0000 0.0000 0.1358
Ga1 Ga 0.0000 0.1773 0.3406
Cu1 Cu 0.0000 0.0000 0.5000
Cu2 Cu 0.2500 0.2500 0.0000
```


Please write out number 5 again, unchanged.
For Ca2MnGa3Cu12, a structure optimized by DFT (GGA-PBE) gives the simulated PXRD pattern in this record (CuKα).
Neutral-atom scattering factors, no anomalous dispersion.

The 10 most intense peaks (10 to 90 degrees two-theta), low angle first:
hkl	2θ/deg	d_spacing	Rel. int.
0 1 8	30.4	2.936	46.6
1 1 3	30.8	2.904	65.9
2 0 2	34.5	2.598	85.6
1 0 10	36.1	2.491	60.9
0 2 4	36.3	2.476	64.8
0 1 11	39.0	2.310	57.2
2 0 8	42.7	2.116	100.0
1 2 2	45.9	1.979	78.0
0 2 10	47.1	1.930	95.9
2 2 0	60.7	1.526	59.7

Cell and atoms:
```
data_Ca2MnGa3Cu12
_cell_length_a 6.1051
_cell_length_b 6.1051
_cell_length_c 28.2464
_cell_angle_alpha 90.00
_cell_angle_beta 90.00
_cell_angle_gamma 120.00
_space_group_name_H-M_alt 'R -3 m'
_space_group_IT_number 166
_space_group_name_Hall '-R 3 2"'
loop_
_atom_site_label
_atom_site_type_symbol
_atom_site_fract_x
_atom_site_fract_y
_atom_site_fract_z
Ca1 Ca 0.0000 0.0000 0.1491
Mn1 Mn 0.0000 0.0000 0.5000
Ga1 Ga 0.0000 0.5000 0.0000
Cu1 Cu 0.0521 0.5261 0.0959
Cu2 Cu 0.0686 0.5343 0.6160
```